Starting from DFT lattice parameters and positions (GGA-PBE), the X-ray diffraction stick pattern of TiZn4Pd5 was computed for copper Kα.
Peak positions follow from Bragg's law for the DFT cell and can differ from measured ones.

Largest 8 diffraction maxima, in order of rising 2θ, 15° ≤ 2θ ≤ 90°:
| d (Å) | 2theta | I_rel |
| --- | --- | --- |
| 2.899 | 30.8 | 6 |
| 2.232 | 40.4 | 100 |
| 2.050 | 44.2 | 39 |
| 1.750 | 52.3 | 11 |
| 1.449 | 64.3 | 12 |
| 1.331 | 70.8 | 17 |
| 1.216 | 78.7 | 26 |
| 1.116 | 87.4 | 10 |

Structure:
```
data_TiZn4Pd5
_chemical_formula_sum 'Ti1 Zn4 Pd5'
_cell_length_a 2.899
_cell_length_b 2.899
_cell_length_c 17.500
_cell_angle_alpha 90.00
_cell_angle_beta 90.00
_cell_angle_gamma 90.00
_space_group_name_H-M_alt 'P 4/m m m'
_space_group_IT_number 123
_space_group_name_Hall '-P 4 2'
loop_
_atom_site_label
_atom_site_type_symbol
_atom_site_fract_x
_atom_site_fract_y
_atom_site_fract_z
_atom_site_occupancy
Ti1 Ti 0.000 0.000 0.000 1
Zn1 Zn 0.000 0.000 0.206 1
Zn2 Zn 0.000 0.000 0.402 1
Pd1 Pd 0.500 0.500 0.106 1
Pd2 Pd 0.500 0.500 0.304 1
Pd3 Pd 0.500 0.500 0.500 1
```